Theoretical powder diffractogram
Compound: Rb2TeW3O12
Radiation: Cu Kα (λ = 1.5418 Å)
Structure: a cell relaxed with PBE+U

Cell and atoms:
abc: 7.422 7.422 12.497
angles: 90.00 90.00 120.00
Sites, in units of the cell vectors:
Rb: 0.333 0.667 0.000
Rb: 0.333 0.667 0.382
Rb: 0.667 0.333 0.500
Rb: 0.667 0.333 0.882
Te: 0.000 0.000 0.434
Te: 0.000 0.000 0.934
W: 0.169 0.338 0.674
W: 0.169 0.831 0.674
W: 0.338 0.169 0.174
W: 0.662 0.831 0.674
W: 0.831 0.169 0.174
W: 0.831 0.662 0.174
O: 0.088 0.544 0.636
O: 0.124 0.248 0.184
O: 0.124 0.876 0.184
O: 0.131 0.263 0.507
O: 0.131 0.869 0.507
O: 0.194 0.388 0.814
O: 0.194 0.806 0.814
O: 0.248 0.124 0.684
O: 0.263 0.131 0.007
O: 0.388 0.194 0.314
O: 0.456 0.544 0.636
O: 0.456 0.912 0.636
O: 0.544 0.088 0.136
O: 0.544 0.456 0.136
O: 0.612 0.806 0.814
O: 0.737 0.869 0.507
O: 0.752 0.876 0.184
O: 0.806 0.194 0.314
O: 0.806 0.612 0.314
O: 0.869 0.131 0.007
O: 0.869 0.737 0.007
O: 0.876 0.124 0.684
O: 0.876 0.752 0.684
O: 0.912 0.456 0.136

Largest 10 diffraction maxima, most intense first, 15 to 90 degrees two-theta:
hkl 2 0 1, d 3.113, intensity 100; hkl 1 1 2, d 3.191, intensity 72; hkl 2 2 4, d 1.595, intensity 37; hkl 1 0 3, d 3.496, intensity 36; hkl 2 2 0, d 1.856, intensity 34; hkl 2 0 5, d 1.973, intensity 32; hkl 1 0 1, d 5.716, intensity 29; hkl 0 0 4, d 3.124, intensity 28; hkl 2 0 2, d 2.858, intensity 26; hkl 3 0 2, d 2.027, intensity 22

***

Theoretical powder diffractogram
Compound: Li4TiNi3O8
Radiation: Cu Kα (λ = 1.5418 Å)
Structure: a cell relaxed with PBE+U

Cell and atoms:
abc: 5.830 5.865 8.406
angles: 89.41 89.88 88.59
Sites, in units of the cell vectors:
Li: 0.000 0.000 0.000
Li: 0.001 0.500 0.500
Li: 0.246 0.749 0.250
Li: 0.251 0.251 0.749
Li: 0.499 0.000 0.000
Li: 0.503 0.502 0.500
Li: 0.751 0.750 0.251
Li: 0.756 0.252 0.750
Ti: 0.248 0.750 0.749
Ti: 0.751 0.250 0.250
Ni: 0.001 0.000 0.499
Ni: 0.001 0.501 0.000
Ni: 0.246 0.251 0.249
Ni: 0.500 0.000 0.500
Ni: 0.501 0.501 0.000
Ni: 0.754 0.751 0.750
O: 0.003 0.479 0.251
O: 0.021 0.997 0.749
O: 0.231 0.733 0.989
O: 0.237 0.231 0.479
O: 0.238 0.767 0.510
O: 0.245 0.269 0.020
O: 0.482 0.508 0.745
O: 0.497 0.027 0.244
O: 0.504 0.975 0.755
O: 0.519 0.494 0.255
O: 0.758 0.733 0.980
O: 0.763 0.234 0.489
O: 0.764 0.769 0.520
O: 0.771 0.269 0.011
O: 0.980 0.004 0.251
O: 0.999 0.523 0.749

Largest 10 diffraction maxima, most intense first, 15 to 90 degrees two-theta:
hkl 0 1 1, d 4.832, intensity 100; hkl 0 0 4, d 2.101, intensity 26; hkl 2 2 0, d 2.093, intensity 26; hkl 2 -2 0, d 2.042, intensity 24; hkl 2 1 -1, d 2.511, intensity 15; hkl 0 1 -3, d 2.518, intensity 15; hkl 2 0 2, d 2.394, intensity 15; hkl 2 -1 1, d 2.468, intensity 13; hkl 0 3 -1, d 1.901, intensity 9; hkl 2 2 -4, d 1.476, intensity 7

***

Theoretical powder diffractogram
Compound: Ba6Mn4Si12Cl3O34
Radiation: Cu Kα (λ = 1.5418 Å)
Structure: a cell relaxed with PBE+U

Cell and atoms:
abc: 9.792 6.996 13.370
angles: 90.00 90.14 90.00
Sites, in units of the cell vectors:
Ba: 0.000 0.000 0.000
Ba: 0.031 0.000 0.484
Ba: 0.171 0.500 0.766
Ba: 0.510 0.000 0.812
Ba: 0.561 0.000 0.319
Ba: 0.877 0.500 0.265
Mn: 0.154 0.500 0.449
Mn: 0.506 0.500 0.226
Mn: 0.543 0.500 0.724
Mn: 0.897 0.500 0.947
Si: 0.196 0.500 0.076
Si: 0.224 0.233 0.254
Si: 0.224 0.767 0.254
Si: 0.366 0.232 0.567
Si: 0.366 0.768 0.567
Si: 0.476 0.500 0.966
Si: 0.573 0.500 0.467
Si: 0.682 0.232 0.068
Si: 0.682 0.768 0.068
Si: 0.827 0.233 0.752
Si: 0.827 0.767 0.752
Si: 0.854 0.500 0.575
Cl: 0.201 0.000 0.824
Cl: 0.728 0.000 0.505
Cl: 0.881 0.000 0.261
O: 0.112 0.500 0.974
O: 0.126 0.298 0.345
O: 0.126 0.702 0.345
O: 0.158 0.310 0.145
O: 0.158 0.690 0.145
O: 0.209 0.301 0.547
O: 0.209 0.699 0.547
O: 0.223 0.000 0.245
O: 0.364 0.500 0.058
O: 0.366 0.000 0.551
O: 0.383 0.295 0.265
O: 0.383 0.705 0.265
O: 0.411 0.500 0.857
O: 0.415 0.292 0.679
O: 0.415 0.708 0.679
O: 0.472 0.312 0.481
O: 0.472 0.688 0.481
O: 0.572 0.308 0.982
O: 0.572 0.692 0.982
O: 0.633 0.295 0.179
O: 0.633 0.705 0.179
O: 0.638 0.500 0.358
O: 0.670 0.297 0.765
O: 0.670 0.703 0.765
O: 0.676 0.000 0.048
O: 0.686 0.500 0.559
O: 0.827 0.000 0.748
O: 0.838 0.300 0.047
O: 0.838 0.700 0.047
O: 0.895 0.313 0.646
O: 0.895 0.687 0.646
O: 0.927 0.294 0.845
O: 0.927 0.706 0.845
O: 0.939 0.500 0.474

Largest 10 diffraction maxima, most intense first, 15 to 90 degrees two-theta:
hkl 0 2 0, d 3.502, intensity 100; hkl 1 1 -2, d 4.334, intensity 96; hkl 3 0 -2, d 2.933, intensity 77; hkl 3 1 0, d 2.956, intensity 76; hkl 0 0 4, d 3.342, intensity 69; hkl 1 1 4, d 2.882, intensity 57; hkl 3 2 -2, d 2.248, intensity 56; hkl 1 2 1, d 3.198, intensity 54; hkl 1 2 -3, d 2.649, intensity 53; hkl 2 0 -3, d 3.296, intensity 45

***

Theoretical powder diffractogram
Compound: Fe2O3
Radiation: Cu Kα (λ = 1.5418 Å)
Structure: a cell relaxed with PBE+U

Cell and atoms:
abc: 5.165 5.407 15.051
angles: 90.00 90.00 90.00
Sites, in units of the cell vectors:
Fe: 0.001 0.201 0.071
Fe: 0.001 0.299 0.571
Fe: 0.001 0.733 0.681
Fe: 0.001 0.767 0.181
Fe: 0.499 0.233 0.681
Fe: 0.499 0.267 0.181
Fe: 0.499 0.701 0.071
Fe: 0.499 0.799 0.571
Fe: 0.501 0.201 0.429
Fe: 0.501 0.299 0.929
Fe: 0.501 0.733 0.819
Fe: 0.501 0.767 0.319
Fe: 0.999 0.233 0.819
Fe: 0.999 0.267 0.319
Fe: 0.999 0.701 0.429
Fe: 0.999 0.799 0.929
O: 0.142 0.630 0.297
O: 0.142 0.870 0.797
O: 0.150 0.157 0.949
O: 0.150 0.343 0.449
O: 0.198 0.018 0.624
O: 0.198 0.482 0.124
O: 0.302 0.518 0.624
O: 0.302 0.982 0.124
O: 0.350 0.657 0.949
O: 0.350 0.843 0.449
O: 0.358 0.130 0.297
O: 0.358 0.370 0.797
O: 0.642 0.630 0.203
O: 0.642 0.870 0.703
O: 0.650 0.157 0.551
O: 0.650 0.343 0.051
O: 0.698 0.018 0.876
O: 0.698 0.482 0.376
O: 0.802 0.518 0.876
O: 0.802 0.982 0.376
O: 0.850 0.657 0.551
O: 0.850 0.843 0.051
O: 0.858 0.130 0.203
O: 0.858 0.370 0.703

Largest 10 diffraction maxima, most intense first, 15 to 90 degrees two-theta:
hkl 1 1 4, d 2.651, intensity 100; hkl 3 1 4, d 1.504, intensity 28; hkl 0 2 0, d 2.704, intensity 26; hkl 2 2 0, d 1.867, intensity 23; hkl 2 0 0, d 2.582, intensity 22; hkl 1 3 4, d 1.551, intensity 17; hkl 1 1 1, d 3.625, intensity 12; hkl 0 0 8, d 1.881, intensity 12; hkl 0 2 8, d 1.544, intensity 12; hkl 2 0 8, d 1.521, intensity 11

***

Theoretical powder diffractogram
Compound: UMnO4
Radiation: Cu Kα (λ = 1.5418 Å)
Structure: a cell relaxed with PBE+U

Cell and atoms:
abc: 6.759 6.882 3.505
angles: 90.00 90.00 90.00
Sites, in units of the cell vectors:
U: 0.000 0.000 0.000
U: 0.500 0.500 0.000
Mn: 0.000 0.500 0.500
Mn: 0.500 0.000 0.500
O: 0.000 0.187 0.500
O: 0.000 0.813 0.500
O: 0.207 0.500 0.000
O: 0.293 0.000 0.000
O: 0.500 0.313 0.500
O: 0.500 0.687 0.500
O: 0.707 0.000 0.000
O: 0.793 0.500 0.000

Largest 10 diffraction maxima, most intense first, 15 to 90 degrees two-theta:
hkl 1 1 1, d 2.835, intensity 100; hkl 1 1 0, d 4.822, intensity 79; hkl 0 2 0, d 3.441, intensity 52; hkl 2 0 0, d 3.380, intensity 48; hkl 1 3 1, d 1.846, intensity 39; hkl 3 1 1, d 1.827, intensity 35; hkl 0 2 1, d 2.455, intensity 26; hkl 2 2 0, d 2.411, intensity 25; hkl 3 3 1, d 1.461, intensity 21; hkl 0 0 1, d 3.505, intensity 18

***

Theoretical powder diffractogram
Compound: CsV2P5O16
Radiation: Cu Kα (λ = 1.5418 Å)
Structure: a cell relaxed with PBE+U

Cell and atoms:
abc: 7.679 9.593 10.429
angles: 90.00 111.91 90.00
Sites, in units of the cell vectors:
Cs: 0.000 0.194 0.000
Cs: 0.000 0.806 0.500
V: 0.381 0.143 0.787
V: 0.381 0.857 0.287
V: 0.928 0.369 0.391
V: 0.928 0.631 0.891
P: 0.129 0.418 0.729
P: 0.129 0.582 0.229
P: 0.281 0.127 0.451
P: 0.281 0.873 0.951
P: 0.518 0.460 0.761
P: 0.518 0.540 0.261
P: 0.573 0.294 0.127
P: 0.573 0.706 0.627
P: 0.614 0.140 0.381
P: 0.614 0.860 0.881
O: 0.021 0.470 0.814
O: 0.021 0.530 0.314
O: 0.044 0.459 0.577
O: 0.044 0.541 0.077
O: 0.155 0.253 0.404
O: 0.155 0.747 0.904
O: 0.158 0.260 0.750
O: 0.158 0.740 0.250
O: 0.232 0.011 0.343
O: 0.232 0.989 0.843
O: 0.302 0.071 0.594
O: 0.302 0.929 0.094
O: 0.334 0.496 0.793
O: 0.334 0.504 0.293
O: 0.483 0.231 0.987
O: 0.483 0.769 0.487
O: 0.486 0.448 0.122
O: 0.486 0.552 0.622
O: 0.493 0.181 0.468
O: 0.493 0.819 0.968
O: 0.498 0.213 0.232
O: 0.498 0.787 0.732
O: 0.518 0.307 0.728
O: 0.518 0.693 0.228
O: 0.612 0.017 0.857
O: 0.612 0.983 0.357
O: 0.687 0.482 0.374
O: 0.687 0.518 0.874
O: 0.784 0.298 0.190
O: 0.784 0.702 0.690
O: 0.808 0.200 0.447
O: 0.808 0.800 0.947

Largest 10 diffraction maxima, most intense first, 15 to 90 degrees two-theta:
hkl 2 0 0, d 3.565, intensity 100; hkl 1 2 -1, d 3.983, intensity 78; hkl 1 1 1, d 4.384, intensity 74; hkl 2 2 -1, d 2.997, intensity 70; hkl 1 0 2, d 3.442, intensity 68; hkl 1 0 -2, d 4.952, intensity 64; hkl 2 2 -2, d 2.864, intensity 54; hkl 1 1 -3, d 3.258, intensity 47; hkl 0 1 2, d 4.320, intensity 45; hkl 0 1 3, d 3.057, intensity 43

***

Theoretical powder diffractogram
Compound: Li3MnFe2B3O9
Radiation: Cu Kα (λ = 1.5418 Å)
Structure: a cell relaxed with PBE+U

Cell and atoms:
abc: 8.260 3.151 14.289
angles: 90.00 90.02 90.00
Sites, in units of the cell vectors:
Li: 0.000 0.000 0.000
Li: 0.025 0.000 0.293
Li: 0.073 0.000 0.660
Li: 0.498 0.000 0.500
Li: 0.524 0.000 0.793
Li: 0.571 0.000 0.159
Mn: 0.673 0.500 0.971
Mn: 0.691 0.500 0.337
Fe: 0.176 0.500 0.471
Fe: 0.189 0.500 0.836
Fe: 0.226 0.500 0.147
Fe: 0.729 0.500 0.647
B: 0.362 0.000 0.984
B: 0.363 0.000 0.318
B: 0.365 0.500 0.651
B: 0.866 0.000 0.816
B: 0.866 0.500 0.150
B: 0.867 0.000 0.485
O: 0.003 0.500 0.207
O: 0.017 0.000 0.859
O: 0.021 0.000 0.525
O: 0.214 0.500 0.693
O: 0.223 0.000 0.372
O: 0.226 0.000 0.042
O: 0.346 0.000 0.887
O: 0.351 0.000 0.220
O: 0.377 0.500 0.554
O: 0.505 0.500 0.705
O: 0.513 0.000 0.361
O: 0.516 0.000 0.024
O: 0.712 0.500 0.190
O: 0.726 0.000 0.870
O: 0.729 0.000 0.542
O: 0.851 0.000 0.388
O: 0.855 0.000 0.719
O: 0.883 0.500 0.053

Largest 10 diffraction maxima, most intense first, 15 to 90 degrees two-theta:
hkl 1 0 -3, d 4.127, intensity 100; hkl 2 1 0, d 2.504, intensity 78; hkl 0 0 6, d 2.383, intensity 32; hkl 3 1 -3, d 1.901, intensity 28; hkl 4 1 0, d 1.726, intensity 25; hkl 1 1 7, d 1.678, intensity 18; hkl 0 1 2, d 2.883, intensity 16; hkl 2 0 4, d 2.702, intensity 16; hkl 4 0 0, d 2.064, intensity 15; hkl 5 1 -3, d 1.398, intensity 13

***

- Which formula does entry 4 have?
  Fe2O3